Record 1
The following is a simulated X-ray diffraction stick pattern of Na7LiTl3. It was derived from a crystal structure in Alexandria, relaxed with GGA-PBE, using λ = 1.5418 Å (Cu Kα).
Lines closer than 0.1° are merged.

Principal peaks in the range 2θ = 15–90°, sorted by position:
2theta	Rel. int.
18.6	74
21.7	79
22.4	48
29.2	100
29.7	61
33.8	57
35.3	82
37.7	24
38.9	68
48.8	32
51.6	35
53.8	35

Crystal structure
a = 9.1804 Å, b = 9.1804 Å, c = 4.7686 Å
α = 90.00°, β = 90.00°, γ = 120.00°
Fractional positions:
Na (0.0000, 0.0000, 0.9998)
Na (0.0307, 0.5154, 0.0000)
Na (0.1755, 0.3509, 0.5001)
Na (0.1755, 0.8245, 0.5001)
Na (0.4846, 0.5154, 0.0000)
Na (0.4846, 0.9693, 0.0000)
Na (0.6491, 0.8245, 0.5001)
Li (0.6667, 0.3333, 0.9963)
Tl (0.4250, 0.2125, 0.4980)
Tl (0.7875, 0.2125, 0.4980)
Tl (0.7875, 0.5750, 0.4980)



Record 2
The following is a simulated X-ray diffraction stick pattern of Ho2Si4Pd3Pt. It was derived from a crystal structure in Alexandria, relaxed with GGA-PBE, using λ = 1.5418 Å (Cu Kα).
Lines closer than 0.1° are merged.

Principal peaks in the range 2θ = 15–90°, sorted by position:
2theta	Rel. int.
23.2	13
26.9	14
31.7	36
34.6	59
35.4	100
43.5	54
50.9	22
56.7	28
63.1	18
64.5	15
69.1	17
74.5	23

Crystal structure
a = 4.1643 Å, b = 4.1643 Å, c = 9.9418 Å
α = 90.00°, β = 90.00°, γ = 90.00°
Fractional positions:
Ho (0.0000, 0.5000, 0.2475)
Ho (0.5000, 0.0000, 0.7525)
Si (0.0000, 0.0000, 0.0000)
Si (0.0000, 0.5000, 0.6334)
Si (0.5000, 0.0000, 0.3666)
Si (0.5000, 0.5000, 0.0000)
Pd (0.0000, 0.5000, 0.8733)
Pd (0.5000, 0.0000, 0.1267)
Pd (0.5000, 0.5000, 0.5000)
Pt (0.0000, 0.0000, 0.5000)



Record 3
The following is a simulated X-ray diffraction stick pattern of K6Rb2AuSe. It was derived from a crystal structure in Alexandria, relaxed with GGA-PBE, using λ = 1.5418 Å (Cu Kα).
Lines closer than 0.1° are merged.

Principal peaks in the range 2θ = 15–90°, sorted by position:
2theta	Rel. int.
18.9	100
22.2	14
26.8	79
30.0	14
33.0	43
38.2	30
38.3	30
43.0	13
43.0	13
51.3	13
51.4	15
62.4	13

Crystal structure
a = 9.4047 Å, b = 9.4047 Å, c = 9.3909 Å
α = 119.89°, β = 119.89°, γ = 90.04°
Fractional positions:
K (0.0000, 0.0000, 0.0000)
K (0.0002, 0.0002, 0.4857)
K (0.0005, 0.5153, 0.0002)
K (0.5153, 0.0005, 0.0002)
K (0.5151, 0.5151, 0.0008)
K (0.5159, 0.5159, 0.5156)
Rb (0.0081, 0.5073, 0.5005)
Rb (0.5073, 0.0081, 0.5005)
Au (0.2577, 0.2577, 0.0009)
Se (0.7579, 0.7579, 0.0006)



Record 4
The following is a simulated X-ray diffraction stick pattern of Pu2MgSn9. It was derived from a crystal structure in Alexandria, relaxed with GGA-PBE, using λ = 1.5418 Å (Cu Kα).
Lines closer than 0.1° are merged.

Principal peaks in the range 2θ = 15–90°, sorted by position:
2theta	Rel. int.
33.1	100
33.9	18
34.9	9
35.5	27
38.3	12
41.4	10
53.2	10
57.7	9
62.3	17
65.9	10
69.6	15
70.3	9

Crystal structure
a = 6.4201 Å, b = 5.0558 Å, c = 9.6190 Å
α = 90.00°, β = 94.35°, γ = 90.00°
Fractional positions:
Pu (0.2333, 0.0000, 0.3203)
Pu (0.7667, 0.0000, 0.6797)
Mg (0.5000, 0.0000, 0.0000)
Sn (0.0000, 0.0000, 0.0000)
Sn (0.0000, 0.5000, 0.5000)
Sn (0.0548, 0.5000, 0.8233)
Sn (0.2697, 0.0000, 0.6694)
Sn (0.4661, 0.5000, 0.1668)
Sn (0.5000, 0.5000, 0.5000)
Sn (0.5339, 0.5000, 0.8332)
Sn (0.7303, 0.0000, 0.3306)
Sn (0.9452, 0.5000, 0.1767)



Record 5
The following is a simulated X-ray diffraction stick pattern of Li2Ac2CeO6. It was derived from a crystal structure in Alexandria, relaxed with GGA-PBE, using λ = 1.5418 Å (Cu Kα).
Lines closer than 0.1° are merged.

Principal peaks in the range 2θ = 15–90°, sorted by position:
2theta	Rel. int.
15.7	22
18.1	75
20.2	31
27.3	36
30.2	100
31.6	90
41.2	34
44.3	52
51.9	21
53.6	21
54.5	43
74.4	21

Crystal structure
a = 6.6036 Å, b = 6.6036 Å, c = 6.6036 Å
α = 53.26°, β = 53.26°, γ = 53.26°
Fractional positions:
Li (0.0709, 0.0709, 0.0709)
Li (0.9291, 0.9291, 0.9291)
Ac (0.2942, 0.2942, 0.2942)
Ac (0.7058, 0.7058, 0.7058)
Ce (0.5000, 0.5000, 0.5000)
O (0.2507, 0.2507, 0.7166)
O (0.2507, 0.7166, 0.2507)
O (0.2834, 0.7493, 0.7493)
O (0.7166, 0.2507, 0.2507)
O (0.7493, 0.2834, 0.7493)
O (0.7493, 0.7493, 0.2834)